Entry 1:
This entry pairs a crystal structure of BaCo2P2H2O9 with its calculated PXRD pattern. Radiation: λ = 1.5418 Å (Cu Kα). Structure: DFT lattice parameters and positions (GGA+U).

Peak list (10 most intense, 15 to 90 degrees two-theta, sorted by position)
2θ/deg	intensity
21.5	37
22.1	27
22.8	75
23.0	43
28.1	39
29.6	100
34.1	68
42.8	26
46.7	28
48.0	27

Cell and atoms:
Cell lengths 5.2786, 5.2786, 8.4322 Å; angles 91.57, 91.57, 56.04 degrees
Element x y z (fractional)
Ba 0.0000 0.0000 0.0000
Co 0.3862 0.2779 0.3528
Co 0.7221 0.6138 0.6472
P 0.3323 0.3570 0.7370
P 0.6430 0.6677 0.2630
H 0.8727 0.0083 0.5666
H 0.9917 0.1273 0.4334
O 0.0719 0.4149 0.8448
O 0.1786 0.4516 0.5671
O 0.4313 0.5588 0.2113
O 0.4412 0.5687 0.7887
O 0.5484 0.8214 0.4329
O 0.5851 0.9281 0.1552
O 0.6165 0.0244 0.7448
O 0.8174 0.1826 0.5000
O 0.9756 0.3835 0.2552

Entry 2:
This entry pairs a crystal structure of Ba2Ho2Co4O11 with its calculated PXRD pattern. Radiation: λ = 1.5418 Å (Cu Kα). Structure: DFT lattice parameters and positions (GGA+U).

Peak list (10 most intense, 15 to 90 degrees two-theta, sorted by position)
2θ/deg	intensity
32.3	95
32.7	100
32.9	99
40.2	43
46.0	29
46.6	31
47.9	23
57.7	35
58.1	38
58.9	41

Cell and atoms:
Cell lengths 7.8000, 7.8993, 7.5997 Å; angles 90.00, 90.00, 90.00 degrees
Element x y z (fractional)
Ba 0.0000 0.2416 0.0000
Ba 0.0000 0.7584 0.0000
Ba 0.5000 0.2416 0.0000
Ba 0.5000 0.7584 0.0000
Ho 0.0000 0.2689 0.5000
Ho 0.0000 0.7311 0.5000
Ho 0.5000 0.2689 0.5000
Ho 0.5000 0.7311 0.5000
Co 0.2500 0.0000 0.2627
Co 0.2500 0.0000 0.7278
Co 0.2500 0.5000 0.2542
Co 0.2500 0.5000 0.7474
Co 0.7500 0.0000 0.2722
Co 0.7500 0.0000 0.7373
Co 0.7500 0.5000 0.2526
Co 0.7500 0.5000 0.7458
O 0.0028 0.5000 0.2789
O 0.0062 0.0000 0.6826
O 0.2500 0.0000 0.0097
O 0.2500 0.2286 0.3101
O 0.2500 0.2370 0.6983
O 0.2500 0.5000 0.5056
O 0.2500 0.5000 0.9906
O 0.2500 0.7630 0.6983
O 0.2500 0.7714 0.3101
O 0.4938 0.0000 0.6826
O 0.4972 0.5000 0.2789
O 0.5028 0.5000 0.7211
O 0.5062 0.0000 0.3174
O 0.7500 0.0000 0.9903
O 0.7500 0.2286 0.6899
O 0.7500 0.2370 0.3017
O 0.7500 0.5000 0.0094
O 0.7500 0.5000 0.4944
O 0.7500 0.7630 0.3017
O 0.7500 0.7714 0.6899
O 0.9938 0.0000 0.3174
O 0.9972 0.5000 0.7211

Entry 3:
This entry pairs a crystal structure of Ba2Ho2Co4O11 with its calculated PXRD pattern. Radiation: λ = 1.5418 Å (Cu Kα). Structure: DFT lattice parameters and positions (GGA+U).

Peak list (10 most intense, 15 to 90 degrees two-theta, sorted by position)
2θ/deg	intensity
22.7	15
32.3	46
32.7	100
40.2	21
46.4	29
47.4	12
57.9	36
58.5	21
67.7	8
68.5	14

Cell and atoms:
Cell lengths 3.9157, 7.6784, 7.8264 Å; angles 90.00, 90.00, 90.00 degrees
Element x y z (fractional)
Ba 0.0000 0.0000 0.2498
Ba 0.0000 0.0000 0.7502
Ho 0.0000 0.5000 0.2275
Ho 0.0000 0.5000 0.7725
Co 0.5000 0.2550 0.0000
Co 0.5000 0.2609 0.5000
Co 0.5000 0.7391 0.5000
Co 0.5000 0.7450 0.0000
O 0.0000 0.2807 0.0000
O 0.0000 0.3162 0.5000
O 0.0000 0.6838 0.5000
O 0.0000 0.7193 0.0000
O 0.5000 0.0000 0.0000
O 0.5000 0.0000 0.5000
O 0.5000 0.3057 0.2699
O 0.5000 0.3057 0.7301
O 0.5000 0.5000 0.0000
O 0.5000 0.6943 0.2699
O 0.5000 0.6943 0.7301

Entry 4:
This entry pairs a crystal structure of Ba2Ho2Co4O11 with its calculated PXRD pattern. Radiation: λ = 1.5418 Å (Cu Kα). Structure: DFT lattice parameters and positions (GGA+U).

Peak list (10 most intense, 15 to 90 degrees two-theta, sorted by position)
2θ/deg	intensity
22.7	16
32.3	48
32.7	100
40.2	22
46.3	30
47.7	11
57.9	37
58.7	20
67.5	8
68.6	13

Cell and atoms:
Cell lengths 7.8448, 7.8445, 7.6327 Å; angles 90.00, 90.00, 90.00 degrees
Element x y z (fractional)
Ba 0.0000 0.2388 0.0000
Ba 0.0000 0.7612 0.0000
Ba 0.5000 0.2388 0.0000
Ba 0.5000 0.7612 0.0000
Ho 0.0000 0.2685 0.5000
Ho 0.0000 0.7315 0.5000
Ho 0.5000 0.2685 0.5000
Ho 0.5000 0.7315 0.5000
Co 0.2500 0.0000 0.2703
Co 0.2500 0.0000 0.7097
Co 0.2500 0.5000 0.2539
Co 0.2500 0.5000 0.7470
Co 0.7500 0.0000 0.2903
Co 0.7500 0.0000 0.7297
Co 0.7500 0.5000 0.2530
Co 0.7500 0.5000 0.7461
O 0.0013 0.5000 0.2807
O 0.0050 0.0000 0.6804
O 0.2500 0.0000 0.0191
O 0.2500 0.2324 0.3100
O 0.2500 0.2325 0.7018
O 0.2500 0.5000 0.5072
O 0.2500 0.5000 0.9880
O 0.2500 0.7675 0.7018
O 0.2500 0.7676 0.3100
O 0.4950 0.0000 0.6804
O 0.4987 0.5000 0.2807
O 0.5013 0.5000 0.7193
O 0.5050 0.0000 0.3196
O 0.7500 0.0000 0.9809
O 0.7500 0.2324 0.6900
O 0.7500 0.2325 0.2982
O 0.7500 0.5000 0.0120
O 0.7500 0.5000 0.4928
O 0.7500 0.7675 0.2982
O 0.7500 0.7676 0.6900
O 0.9950 0.0000 0.3196
O 0.9987 0.5000 0.7193